Record 1
Theoretical powder X-ray diffraction pattern of Sr2FeSbO6 for a wavelength of 1.5418 Å, from a DFT-relaxed cell (PBE+U, the Materials Project).
Neutral-atom scattering factors, no anomalous dispersion.

Structural model:
Unit cell a=8.024 b=8.024 c=8.024 alpha=90.00 beta=90.00 gamma=90.00
Space group Fm-3m (No. 225)
Unique sites:
Sr  0.250  0.250  0.250 x8
Fe  0.000  0.000  0.000 x4
Sb  0.000  0.000  0.500 x4
O  0.000  0.000  0.251 x24

Main lines, low angle first (15° ≤ 2θ ≤ 90°):
- 19.2 deg, intensity 8.3, (1 1 1)
- 31.5 deg, intensity 100.0, (2 2 0)
- 37.2 deg, intensity 4.7, (3 1 1)
- 45.2 deg, intensity 35.0, (4 0 0)
- 56.2 deg, intensity 38.8, (4 2 2)
- 65.8 deg, intensity 20.7, (4 4 0)
- 74.8 deg, intensity 16.8, (6 2 0)
- 83.5 deg, intensity 6.9, (4 4 4)

=====

Record 2
Theoretical powder X-ray diffraction pattern of TiFeSbO6 for a wavelength of 1.5418 Å, from a DFT-relaxed cell (PBE+U, the Materials Project).
Neutral-atom scattering factors, no anomalous dispersion.

Structural model:
Unit cell a=4.718 b=4.718 c=9.047 alpha=90.00 beta=90.00 gamma=90.00
Space group P4_2nm (No. 102)
Unique sites:
Ti  0.000  0.000  0.000 x2
Fe  0.000  0.000  0.670 x2
Sb  0.000  0.000  0.336 x2
O  0.190  0.190  0.167 x4
O  0.193  0.193  0.840 x4
O  0.194  0.194  0.505 x4

Main lines, low angle first (15° ≤ 2θ ≤ 90°):
- 21.2 deg, intensity 25.9, (1 0 1)
- 26.7 deg, intensity 100.0, (1 1 0)
- 35.3 deg, intensity 60.0, (1 0 3)
- 38.1 deg, intensity 15.6, (2 0 0)
- 53.0 deg, intensity 60.6, (2 1 3)
- 55.1 deg, intensity 16.2, (2 2 0)
- 67.1 deg, intensity 20.0, (3 0 3)
- 68.3 deg, intensity 14.7, (1 1 6)

=====

Record 3
Theoretical powder X-ray diffraction pattern of VFeSbO6 for a wavelength of 1.5418 Å, from a DFT-relaxed cell (PBE+U, the Materials Project).
Neutral-atom scattering factors, no anomalous dispersion.

Structural model:
Unit cell a=4.638 b=4.638 c=9.264 alpha=90.00 beta=90.00 gamma=90.00
Space group P4_2nm (No. 102)
Unique sites:
V  0.000  0.000  0.000 x2
Fe  0.000  0.000  0.668 x2
Sb  0.000  0.000  0.333 x2
O  0.192  0.192  0.163 x4
O  0.194  0.194  0.836 x4
O  0.202  0.202  0.497 x4

Main lines, low angle first (15° ≤ 2θ ≤ 90°):
- 21.4 deg, intensity 24.7, (1 0 1)
- 27.2 deg, intensity 100.0, (1 1 0)
- 34.9 deg, intensity 67.6, (1 0 3)
- 38.8 deg, intensity 16.8, (2 0 0)
- 53.2 deg, intensity 65.5, (2 1 3)
- 56.1 deg, intensity 18.5, (2 2 0)
- 67.0 deg, intensity 16.0, (1 1 6)
- 67.8 deg, intensity 22.6, (3 0 3)

=====

Record 4
Theoretical powder X-ray diffraction pattern of Y2FeSbO7 for a wavelength of 1.5418 Å, from a DFT-relaxed cell (PBE+U, the Materials Project).
Neutral-atom scattering factors, no anomalous dispersion.

Structural model:
Unit cell a=7.291 b=7.359 c=10.315 alpha=90.00 beta=90.00 gamma=90.00
Space group Imma (No. 74)
Unique sites:
Y  0.000  0.000  0.000 x4
Y  0.250  0.250  0.250 x4
Fe  0.250  0.250  0.750 x4
Sb  0.000  0.000  0.500 x4
O  0.000  0.250  0.127 x4
O  0.000  0.250  0.420 x4
O  0.000  0.250  0.838 x4
O  0.205  0.036  0.626 x16

Main lines, low angle first (15° ≤ 2θ ≤ 90°):
- 29.8 deg, intensity 99.8, (0 2 2)
- 30.0 deg, intensity 100.0, (2 0 2)
- 34.6 deg, intensity 34.8, (2 2 0)
- 34.8 deg, intensity 17.3, (0 0 4)
- 49.5 deg, intensity 17.7, (0 4 0)
- 49.9 deg, intensity 67.2, (2 2 4)
- 59.0 deg, intensity 27.6, (2 4 2)
- 59.3 deg, intensity 40.3, (0 2 6)

=====

Record 5
Theoretical powder X-ray diffraction pattern of ScFeO3 for a wavelength of 1.5418 Å, from a DFT-relaxed cell (PBE+U, the Materials Project).
Neutral-atom scattering factors, no anomalous dispersion.

Structural model:
Unit cell a=5.8472 b=5.8472 c=11.5815 alpha=90.00 beta=90.00 gamma=120.00
Space group P6_3cm (No. 185)
Unique sites:
Sc  0.0000  0.0000  0.0000 x2
Sc  0.3333  0.6667  0.4580 x4
Fe  0.0000  0.3339  0.2258 x6
O  0.0000  0.0000  0.1949 x2
O  0.0000  0.3013  0.3962 x6
O  0.0000  0.3675  0.0592 x6
O  0.3333  0.6667  0.2534 x4

Main lines, low angle first (15° ≤ 2θ ≤ 90°):
- 30.9 deg, intensity 38.1, (0 0 4)
- 31.6 deg, intensity 100.0, (1 1 1)
- 34.4 deg, intensity 44.7, (1 1 2)
- 50.2 deg, intensity 26.6, (1 1 5)
- 54.4 deg, intensity 46.7, (3 0 0)
- 57.2 deg, intensity 18.4, (1 1 6)
- 63.8 deg, intensity 25.1, (3 0 4)
- 64.2 deg, intensity 9.7, (2 2 1)

=====

Record 6
Theoretical powder X-ray diffraction pattern of ScFeO3 for a wavelength of 1.5418 Å, from a DFT-relaxed cell (PBE+U, the Materials Project).
Neutral-atom scattering factors, no anomalous dispersion.

Structural model:
Unit cell a=5.421 b=7.674 c=5.102 alpha=90.00 beta=90.00 gamma=90.00
Space group Pnma (No. 62)
Unique sites:
Sc  0.070  0.250  0.025 x4
Fe  0.000  0.000  0.500 x4
O  0.064  0.750  0.354 x4
O  0.188  0.575  0.815 x8

Main lines, low angle first (15° ≤ 2θ ≤ 90°):
- 33.1 deg, intensity 19.8, (2 0 0)
- 33.6 deg, intensity 100.0, (1 2 1)
- 35.2 deg, intensity 17.0, (0 0 2)
- 47.4 deg, intensity 14.1, (0 4 0)
- 49.0 deg, intensity 24.5, (2 0 2)
- 59.0 deg, intensity 12.4, (2 4 0)
- 59.4 deg, intensity 12.1, (3 2 1)
- 62.1 deg, intensity 24.6, (1 2 3)